(1)
# NaLa2I4
Simulated powder diffractogram, copper Kα. Input: the PBE geometry in Alexandria.
Neutral-atom scattering factors, no anomalous dispersion.

Atomic structure:
```
14
Lattice="-4.851 5.145 5.470 4.851 -5.145 5.470 4.851 5.145 -5.470" Properties=species:S:1:pos:R:3 pbc="T T T"
Na 0.000 0.000 0.000
Na 0.000 5.145 4.262
La 4.851 2.930 1.525
La 2.710 5.145 -0.632
La 2.141 0.000 4.839
La 0.000 2.215 6.996
I 2.869 0.000 1.411
I 6.834 0.000 1.411
I 4.851 2.998 -1.739
I 4.851 -2.072 4.850
I 0.000 2.148 3.732
I 4.851 2.072 4.850
I 2.724 5.145 2.602
I 2.127 0.000 8.072
```

Top 10 peaks for 2θ from 10° to 90°, by intensity:
Position (°2θ), Rel. int.
25.23, 100
37.10, 30
26.10, 28
31.91, 26
25.92, 26
31.45, 21
34.87, 18
33.01, 18
40.62, 17
12.19, 16

(2)
# Y4CoCu3
Simulated powder diffractogram, copper Kα. Input: the PBE geometry in Alexandria.
Neutral-atom scattering factors, no anomalous dispersion.

Atomic structure:
```
8
Lattice="3.755 0.000 0.000 0.000 4.366 0.000 0.000 0.000 10.386" Properties=species:S:1:pos:R:3 pbc="T T T"
Y 0.000 0.000 0.000
Y 0.000 2.183 2.796
Y 1.878 0.000 4.987
Y 1.878 2.183 8.036
Co 1.878 0.000 2.119
Cu 0.000 0.000 7.279
Cu 0.000 2.183 5.823
Cu 1.878 2.183 0.643
```

Top 10 peaks for 2θ from 10° to 90°, by intensity:
Position (°2θ), Rel. int.
32.61, 100
41.05, 62
35.26, 37
41.36, 33
40.42, 28
48.48, 20
34.54, 20
55.45, 19
65.58, 16
82.74, 15

(3)
# KLi2ReF8
Simulated powder diffractogram, copper Kα. Input: the PBE geometry in Alexandria.
Neutral-atom scattering factors, no anomalous dispersion.

Atomic structure:
```
12
Lattice="2.521 1.455 7.649 -2.521 1.455 7.649 0.000 -2.911 7.649" Properties=species:S:1:pos:R:3 pbc="T T T"
K 0.000 0.000 0.000
Li 0.000 0.000 5.986
Li 0.000 0.000 16.959
Re 0.000 0.000 11.473
F -0.839 -1.320 10.345
F -1.563 0.066 12.601
F 0.000 0.000 7.733
F -0.724 1.386 10.345
F 0.724 -1.386 12.601
F 0.000 0.000 15.212
F 1.563 -0.066 10.345
F 0.839 1.320 12.601
```

Top 10 peaks for 2θ from 10° to 90°, by intensity:
Position (°2θ), Rel. int.
21.78, 100
11.57, 99
20.71, 85
25.64, 80
42.97, 67
37.53, 40
23.26, 35
35.62, 33
28.21, 32
60.80, 28

(4)
# Sc5InGa2
Simulated powder diffractogram, copper Kα. Input: the PBE geometry in Alexandria.
Neutral-atom scattering factors, no anomalous dispersion.

Atomic structure:
```
16
Lattice="-3.652 3.652 6.595 3.652 -3.652 6.595 3.652 3.652 -6.595" Properties=species:S:1:pos:R:3 pbc="T T T"
Sc 0.000 0.000 0.000
Sc 4.851 1.199 -1.902
Sc 1.199 2.454 -1.902
Sc 4.851 1.199 1.902
Sc 1.199 2.454 1.902
Sc 0.000 0.000 6.595
Sc 2.454 1.199 4.693
Sc -1.199 2.454 4.693
Sc 2.454 1.199 8.497
Sc -1.199 2.454 8.497
In 0.000 0.000 3.297
In 0.000 0.000 9.892
Ga 2.704 0.949 0.000
Ga 2.704 -0.949 6.595
Ga 0.949 4.601 0.000
Ga 0.949 2.704 6.595
```

Top 10 peaks for 2θ from 10° to 90°, by intensity:
Position (°2θ), Rel. int.
34.20, 100
38.99, 71
21.86, 48
36.72, 40
32.21, 20
34.74, 18
48.09, 18
70.13, 18
44.13, 16
44.81, 13

(5)
# Pu3NpSe4
Simulated powder diffractogram, copper Kα. Input: the PBE geometry in Alexandria.
Neutral-atom scattering factors, no anomalous dispersion.

Atomic structure:
```
8
Lattice="5.850 0.000 0.000 0.000 5.850 0.000 0.000 0.000 5.850" Properties=species:S:1:pos:R:3 pbc="T T T"
Pu 0.000 0.000 2.925
Pu 0.000 2.925 0.000
Pu 2.925 0.000 0.000
Np 2.925 2.925 2.925
Se 0.000 0.000 0.000
Se 0.000 2.925 2.925
Se 2.925 0.000 2.925
Se 2.925 2.925 0.000
```

Top 10 peaks for 2θ from 10° to 90°, by intensity:
Position (°2θ), Rel. int.
30.56, 100
43.77, 76
26.39, 45
72.22, 35
54.32, 27
80.42, 27
51.83, 23
63.62, 13
70.12, 10
86.43, 8

Question: What is the formula in the fourth record?
Answer: Sc5InGa2